Na3Tl7Ga2: simulated PXRD pattern (Cu Kα, 1.54184 Å), based on a DFT-relaxed cell (GGA-PBE, Alexandria).
No peak broadening, texture or thermal motion is included.

Principal peaks in the range 2θ = 15–90°, sorted by position:
Position (°2θ), d (Å), Rel. int.
17.30, 5.127, 45
17.54, 5.057, 28
26.16, 3.407, 44
28.82, 3.098, 100
32.43, 2.761, 94
34.99, 2.565, 93
41.61, 2.170, 41
50.31, 1.813, 34
59.02, 1.565, 27
61.14, 1.516, 31

Structure:
a b c (Å): 15.118 15.118 5.127
angles (deg): 90.00 90.00 160.46
Element x y z (fractional)
Na1 0.000 0.000 0.000
Na2 0.209 0.791 0.000
Na3 0.791 0.209 0.000
Tl1 0.132 0.868 0.500
Tl2 0.289 0.711 0.500
Tl3 0.367 0.633 0.000
Tl4 0.500 0.500 0.500
Tl5 0.633 0.367 0.000
Tl6 0.711 0.289 0.500
Tl7 0.868 0.132 0.500
Ga1 0.410 0.590 0.500
Ga2 0.590 0.410 0.500